(1)
The following is a simulated X-ray diffraction stick pattern of Tb4Sb3N. It was derived from DFT lattice parameters and positions (GGA-PBE), using CuKα.
Kinematic intensities with the Lorentz-polarization factor, no thermal factor.

Atomic structure:
Cell: 9.658 8.573 6.192 Å, 90.00 90.00 90.00°
Space group Pmn2_1 (No. 31)
Symmetry-distinct sites (fractional):
Tb 0.000 0.092 0.000 [2 per cell]
Tb 0.000 0.818 0.564 [2 per cell]
Tb 0.208 0.694 0.001 [4 per cell]
Sb 0.000 0.157 0.490 [2 per cell]
Sb 0.231 0.338 0.990 [4 per cell]
N 0.000 0.821 0.929 [2 per cell]

Principal peaks in the range 5 to 70 degrees two-theta, sorted by position:
index, Position (°2θ), d_spacing, Rel. int.
0 2 0, 20.7, 4.287, 44
2 1 0, 21.1, 4.207, 100
0 0 2, 28.8, 3.096, 88
0 2 2, 35.8, 2.508, 42
2 1 2, 36.0, 2.494, 46
2 3 0, 36.5, 2.459, 63
4 0 0, 37.2, 2.414, 33
2 3 2, 47.2, 1.926, 53



(2)
The following is a simulated X-ray diffraction stick pattern of AgHgTe. It was derived from DFT lattice parameters and positions (GGA-PBE), using CuKα.
Kinematic intensities with the Lorentz-polarization factor, no thermal factor.

Atomic structure:
Cell: 4.518 6.445 6.786 Å, 63.26 78.31 71.94°
Space group P-1 (No. 2)
Symmetry-distinct sites (fractional):
Ag 0.000 0.000 0.000 [1 per cell]
Ag 0.500 0.500 0.500 [1 per cell]
Hg 0.159 0.179 0.495 [2 per cell]
Te 0.424 0.311 0.957 [2 per cell]

Principal peaks in the range 5 to 70 degrees two-theta, sorted by position:
index, Position (°2θ), d_spacing, Rel. int.
1 -1 0, 29.3, 3.048, 91
0 0 2, 29.6, 3.022, 95
1 2 1, 30.1, 2.966, 100
-1 1 2, 38.1, 2.362, 34
2 1 1, 40.3, 2.239, 39
1 2 3, 42.6, 2.121, 36
1 2 -1, 42.8, 2.113, 34
1 -1 2, 45.8, 1.980, 30